# DyTaTi2O8
Calculated powder diffractogram, CuKα. Input: DFT lattice parameters and positions (PBE).

Main lines, by intensity (10 to 90 degrees two-theta):
18.5 deg, rel. 100, hkl 1 1 0
25.5 deg, rel. 82, hkl 2 0 0
27.1 deg, rel. 72, hkl 0 2 0
32.9 deg, rel. 68, hkl 1 1 -2
34.0 deg, rel. 61, hkl 1 1 2
39.1 deg, rel. 36, hkl 0 2 2
52.4 deg, rel. 35, hkl 4 0 0
37.5 deg, rel. 31, hkl 2 2 0

Atomic structure:
Cell lengths 6.9991, 6.5781, 6.4767 Å; angles 90.00, 92.82, 90.00 degrees
Space group C2/m (No. 12)
One atom of each set of equivalent atoms:
Dy 0.0000 0.0000 0.0000 (multiplicity 2)
Ta 0.0000 0.0000 0.5000 (multiplicity 2)
Ti 0.0406 0.5000 0.2441 (multiplicity 4)
O 0.0000 0.2075 0.2758 (multiplicity 8)
O 0.1785 0.5000 0.0131 (multiplicity 4)
O 0.2099 0.5000 0.4773 (multiplicity 4)